1.
For ScNiB4, a crystal structure in the Materials Project, relaxed with GGA-PBE gives the simulated powder XRD pattern in this record (Cu Kα, 1.54184 Å).

Largest 6 diffraction maxima, sorted by position, 2θ from 10° to 90°:
3.247 Å, 2θ 27.47, intensity 49; 2.801 Å, 2θ 31.95, intensity 43; 2.288 Å, 2θ 39.38, intensity 31; 2.122 Å, 2θ 42.62, intensity 100; 1.993 Å, 2θ 45.52, intensity 35; 1.870 Å, 2θ 48.68, intensity 50

```
24
Lattice="5.7845 0.0000 0.0000 0.0000 11.2212 0.0000 0.0000 0.0000 3.2471" Properties=species:S:1:pos:R:3 pbc="T T T"
Sc 0.7352 1.6897 0.0000
Sc 2.1571 7.3003 0.0000
Sc 3.6274 3.9210 0.0000
Sc 5.0494 9.5316 0.0000
Ni 0.7809 4.6154 0.0000
Ni 2.1114 10.2260 0.0000
Ni 3.6731 0.9952 0.0000
Ni 5.0037 6.6058 0.0000
B 0.1199 7.7893 1.6235
B 0.6722 6.1636 1.6235
B 0.7745 10.8546 1.6235
B 1.2193 9.1279 1.6235
B 1.6730 3.5173 1.6235
B 2.1177 5.2440 1.6235
B 2.2201 0.5530 1.6235
B 2.7724 2.1787 1.6235
B 3.0121 9.0425 1.6235
B 3.5644 10.6682 1.6235
B 3.6668 5.9772 1.6235
B 4.1115 7.7039 1.6235
B 4.5653 2.0933 1.6235
B 5.0100 0.3666 1.6235
B 5.1124 5.0576 1.6235
B 5.6647 3.4319 1.6235
```

2.
For TmMgTl, a crystal structure in the Materials Project, relaxed with GGA-PBE gives the simulated powder XRD pattern in this record (Cu Kα, 1.54184 Å).

Largest 6 diffraction maxima, sorted by position, 2θ from 10° to 90°:
3.738 Å, 2θ 23.80, intensity 36; 2.915 Å, 2θ 30.67, intensity 49; 2.658 Å, 2θ 33.72, intensity 100; 2.328 Å, 2θ 38.67, intensity 25; 2.166 Å, 2θ 41.70, intensity 26; 2.158 Å, 2θ 41.86, intensity 22

```
9
Lattice="7.4758 0.0000 0.0000 -3.7379 6.4742 0.0000 0.0000 0.0000 4.6567" Properties=species:S:1:pos:R:3 pbc="T T T"
Tm -2.1361 3.6998 0.0000
Tm 1.6018 2.7744 0.0000
Tm 4.2722 0.0000 0.0000
Mg -0.9132 1.5818 2.3284
Mg 1.8265 0.0000 2.3284
Mg 2.8247 4.8925 2.3284
Tl 0.0000 0.0000 0.0000
Tl 0.0000 4.3162 2.3284
Tl 3.7379 2.1581 2.3284
```

3.
For SrCe3, a crystal structure in the Materials Project, relaxed with GGA-PBE gives the simulated powder XRD pattern in this record (Cu Kα, 1.54184 Å).

Largest 6 diffraction maxima, sorted by position, 2θ from 10° to 90°:
2.925 Å, 2θ 30.56, intensity 100; 2.534 Å, 2θ 35.43, intensity 50; 1.791 Å, 2θ 50.98, intensity 36; 1.528 Å, 2θ 60.61, intensity 42; 1.162 Å, 2θ 83.09, intensity 17; 1.133 Å, 2θ 85.75, intensity 16

```
4
Lattice="5.0670 0.0000 0.0000 0.0000 5.0670 0.0000 0.0000 0.0000 5.0670" Properties=species:S:1:pos:R:3 pbc="T T T"
Sr 0.0000 0.0000 0.0000
Ce 0.0000 2.5335 2.5335
Ce 2.5335 0.0000 2.5335
Ce 2.5335 2.5335 0.0000
```

4.
For CeUO4, a crystal structure in the Materials Project, relaxed with GGA-PBE gives the simulated powder XRD pattern in this record (Cu Kα, 1.54184 Å).

Largest 6 diffraction maxima, sorted by position, 2θ from 10° to 90°:
3.141 Å, 2θ 28.41, intensity 100; 2.712 Å, 2θ 33.03, intensity 23; 1.927 Å, 2θ 47.17, intensity 34; 1.918 Å, 2θ 47.41, intensity 17; 1.648 Å, 2θ 55.79, intensity 16; 1.637 Å, 2θ 56.20, intensity 31

```
6
Lattice="3.8355 0.0000 0.0000 0.0000 3.8355 0.0000 0.0000 0.0000 5.4748" Properties=species:S:1:pos:R:3 pbc="T T T"
Ce 0.0000 0.0000 0.0000
U 1.9177 1.9177 2.7374
O 0.0000 1.9177 1.4341
O 0.0000 1.9177 4.0407
O 1.9177 0.0000 1.4341
O 1.9177 0.0000 4.0407
```

5.
For Zr6NiCl15, a crystal structure in the Materials Project, relaxed with GGA-PBE gives the simulated powder XRD pattern in this record (Cu Kα, 1.54184 Å).

Largest 6 diffraction maxima, sorted by position, 2θ from 10° to 90°:
7.312 Å, 2θ 12.10, intensity 100; 4.222 Å, 2θ 21.04, intensity 22; 2.585 Å, 2θ 34.70, intensity 94; 2.028 Å, 2θ 44.68, intensity 21; 1.828 Å, 2θ 49.89, intensity 61; 1.156 Å, 2θ 83.64, intensity 25

```
22
Lattice="-5.1704 5.1704 5.1704 5.1704 -5.1704 5.1704 5.1704 5.1704 -5.1704" Properties=species:S:1:pos:R:3 pbc="T T T"
Zr 2.5079 0.0000 0.0000
Zr 7.8329 0.0000 0.0000
Zr 0.0000 2.5079 0.0000
Zr 0.0000 0.0000 2.5079
Zr 0.0000 7.8329 0.0000
Zr 0.0000 0.0000 7.8329
Ni 0.0000 0.0000 0.0000
Cl 5.1704 2.6056 -2.6056
Cl 5.1704 0.0000 0.0000
Cl 5.1704 -2.6056 2.6056
Cl 2.6056 5.1704 -2.6056
Cl 2.5648 2.5648 0.0000
Cl 2.5648 0.0000 2.5648
Cl 2.6056 -2.6056 5.1704
Cl 0.0000 2.5648 2.5648
Cl 0.0000 5.1704 0.0000
Cl 0.0000 0.0000 5.1704
Cl 5.1704 2.6056 2.6056
Cl -2.6056 5.1704 2.6056
Cl -2.6056 2.6056 5.1704
Cl 2.6056 5.1704 2.6056
Cl 2.6056 2.6056 5.1704
```

6.
For Li2Ca, a crystal structure in the Materials Project, relaxed with GGA-PBE gives the simulated powder XRD pattern in this record (Cu Kα, 1.54184 Å).

Largest 6 diffraction maxima, sorted by position, 2θ from 10° to 90°:
5.328 Å, 2θ 16.64, intensity 58; 4.712 Å, 2θ 18.83, intensity 41; 3.076 Å, 2θ 29.03, intensity 86; 2.845 Å, 2θ 31.45, intensity 100; 2.627 Å, 2θ 34.13, intensity 74; 1.728 Å, 2θ 52.99, intensity 40

```
12
Lattice="6.1528 0.0000 0.0000 -3.0764 5.3285 0.0000 0.0000 0.0000 10.0921" Properties=species:S:1:pos:R:3 pbc="T T T"
Li 0.0000 0.0000 0.0000
Li 0.0000 0.0000 5.0460
Li 0.0000 1.7797 2.5230
Li -1.5351 4.4386 2.5230
Li 1.5412 0.8898 7.5691
Li 1.5351 4.4386 2.5230
Li 4.6115 0.8898 7.5691
Li 3.0764 3.5488 7.5691
Ca 0.0000 3.5523 5.6802
Ca 0.0000 3.5523 9.4579
Ca 3.0764 1.7761 0.6342
Ca 3.0764 1.7761 4.4118
```

Q: What is the formula in the first record?
A: ScNiB4